[1]
For Al3V, a structure optimized by DFT (GGA-PBE) gives the theoretical X-ray diffraction stick pattern in this record (Cu Kα (weighted mean of Kα1 and Kα2)).
Lines closer than 0.1° are merged.

Cell and atoms:
Unit cell a=3.9054 b=3.9054 c=3.9054 alpha=90.00 beta=90.00 gamma=90.00
Space group Pm-3m (No. 221)
One atom of each set of equivalent atoms:
Al1 0.0000 0.0000 0.5000 x3
V1 0.5000 0.5000 0.5000 x1

Peak list (6 most intense, 2θ from 15° to 90°, in order of rising 2θ)
(1 0 0), d 3.905, 2θ = 22.77°, I = 11; (1 1 1), d 2.255, 2θ = 39.99°, I = 100; (2 0 0), d 1.953, 2θ = 46.51°, I = 47; (2 2 0), d 1.381, 2θ = 67.88°, I = 29; (3 1 1), d 1.178, 2θ = 81.79°, I = 34; (2 2 2), d 1.127, 2θ = 86.29°, I = 10


[2]
For TlCuPS3, a structure optimized by DFT (GGA-PBE) gives the theoretical X-ray diffraction stick pattern in this record (Cu Kα (weighted mean of Kα1 and Kα2)).
Lines closer than 0.1° are merged.

Cell and atoms:
Unit cell a=7.3607 b=9.1670 c=10.9009 alpha=90.00 beta=129.88 gamma=90.00
Space group P2_1/c (No. 14)
One atom of each set of equivalent atoms:
Tl1 0.1996 0.0186 0.2628 x4
Cu1 0.4146 0.1667 0.7375 x4
P1 0.4288 0.6016 0.4252 x4
S1 0.1945 0.5289 0.1965 x4
S2 0.2789 0.7172 0.5015 x4
S3 0.2814 0.2128 0.0176 x4

Peak list (6 most intense, 2θ from 15° to 90°, in order of rising 2θ)
(1 1 -1), d 5.736, 2θ = 15.45°, I = 75; (0 0 2), d 4.183, 2θ = 21.24°, I = 75; (1 1 1), d 3.437, 2θ = 25.93°, I = 61; (0 2 2), d 3.090, 2θ = 28.90°, I = 97; (2 2 -2), d 2.868, 2θ = 31.18°, I = 100; (2 0 0), d 2.822, 2θ = 31.71°, I = 89


[3]
For Y4Ga2O9, a structure optimized by DFT (GGA-PBE) gives the theoretical X-ray diffraction stick pattern in this record (Cu Kα (weighted mean of Kα1 and Kα2)).
Lines closer than 0.1° are merged.

Cell and atoms:
Unit cell a=11.5305 b=6.0936 c=11.1022 alpha=90.00 beta=90.00 gamma=90.00
Space group Pbcn (No. 60)
One atom of each set of equivalent atoms:
Y1 0.0025 0.2489 0.0846 x8
Y2 0.1421 0.2255 0.7898 x8
Ga1 0.2252 0.4403 0.5374 x8
O1 0.0000 0.0334 0.2500 x4
O2 0.0568 0.3832 0.6092 x8
O3 0.1180 0.0440 0.9670 x8
O4 0.1740 0.4354 0.3733 x8
O5 0.2219 0.2991 0.1333 x8

Peak list (6 most intense, 2θ from 15° to 90°, in order of rising 2θ)
(3 1 1), d 3.120, 2θ = 28.61°, I = 82; (1 1 3), d 3.050, 2θ = 29.28°, I = 100; (1 0 4), d 2.696, 2θ = 33.23°, I = 50; (4 0 2), d 2.558, 2θ = 35.08°, I = 38; (2 2 2), d 2.423, 2θ = 37.10°, I = 40; (1 3 3), d 1.760, 2θ = 51.95°, I = 34